No. 1
This entry pairs a crystal structure of Tl2BiI with its theoretical powder XRD pattern. Radiation: Cu Kα (weighted mean of Kα1 and Kα2). Structure: a crystal structure in Alexandria, relaxed with GGA-PBE.

The 10 most intense peaks (2θ = 15–90°), sorted by position:
2θ 29.78, rel. 58, (2 0 0)
2θ 31.58, rel. 100, (1 1 1)
2θ 42.61, rel. 22, (2 2 0)
2θ 53.99, rel. 45, (3 1 1)
2θ 57.33, rel. 19, (2 0 2)
2θ 65.94, rel. 12, (2 2 2)
2θ 70.13, rel. 10, (4 2 0)
2θ 71.11, rel. 10, (3 3 1)
2θ 86.58, rel. 12, (5 1 1)
2θ 89.33, rel. 12, (4 2 2)

Structure:
Lattice parameters (Å, degrees): 6.0008 6.0008 3.8063 90.00 90.00 90.00
Space group P4/mmm (No. 123)
Inequivalent atoms, fractional coordinates:
Tl1 0.0000 0.5000 0.0000 x2
Bi1 0.0000 0.0000 0.5000 x1
I1 0.5000 0.5000 0.5000 x1

***

No. 2
This entry pairs a crystal structure of Tl3BiI6 with its theoretical powder XRD pattern. Radiation: Cu Kα (weighted mean of Kα1 and Kα2). Structure: a crystal structure in Alexandria, relaxed with GGA-PBE.

The 10 most intense peaks (2θ = 15–90°), sorted by position:
2θ 26.43, rel. 30, (4 0 -2)
2θ 26.79, rel. 54, (3 2 -1)
2θ 27.06, rel. 35, (1 2 -3)
2θ 27.58, rel. 63, (1 1 -4)
2θ 27.79, rel. 50, (4 1 0)
2θ 27.95, rel. 80, (2 1 3)
2θ 28.29, rel. 52, (2 2 -3)
2θ 29.97, rel. 100, (1 3 1)
2θ 32.44, rel. 36, (2 2 3)
2θ 32.86, rel. 50, (4 0 -4)

Structure:
Lattice parameters (Å, degrees): 14.0237 9.5351 13.7505 90.00 103.47 90.00
Space group P2_1/c (No. 14)
Inequivalent atoms, fractional coordinates:
Tl1 0.0426 0.1795 0.3140 x4
Tl2 0.2114 0.6346 0.9823 x4
Tl3 0.3840 0.1354 0.1347 x4
Bi1 0.2591 0.5073 0.2938 x4
I1 0.0965 0.5251 0.4109 x4
I2 0.1012 0.1275 0.6163 x4
I3 0.1939 0.6942 0.7050 x4
I4 0.3113 0.2100 0.3796 x4
I5 0.4017 0.6573 0.4662 x4
I6 0.4189 0.0037 0.6704 x4

***

No. 3
This entry pairs a crystal structure of In4Bi with its theoretical powder XRD pattern. Radiation: Cu Kα (weighted mean of Kα1 and Kα2). Structure: a crystal structure in Alexandria, relaxed with GGA-PBE.

The 10 most intense peaks (2θ = 15–90°), sorted by position:
2θ 30.73, rel. 57, (2 0 -1)
2θ 32.11, rel. 49, (0 0 5)
2θ 32.73, rel. 100, (1 1 2)
2θ 35.84, rel. 84, (1 1 -3)
2θ 39.84, rel. 24, (2 0 4)
2θ 49.80, rel. 17, (2 0 -6)
2θ 53.33, rel. 34, (0 2 0)
2θ 55.53, rel. 20, (1 1 7)
2θ 61.70, rel. 18, (1 1 -8)
2θ 63.59, rel. 26, (0 2 5)

Structure:
Lattice parameters (Å, degrees): 5.9458 3.4388 13.9376 90.00 90.07 90.00
Space group C2/m (No. 12)
Inequivalent atoms, fractional coordinates:
In1 0.1584 0.0000 0.2052 x4
In2 0.1730 0.0000 0.5993 x4
Bi1 0.0000 0.5000 0.0000 x2

***

No. 4
This entry pairs a crystal structure of In2Bi13 with its theoretical powder XRD pattern. Radiation: Cu Kα (weighted mean of Kα1 and Kα2). Structure: a crystal structure in Alexandria, relaxed with GGA-PBE.

The 10 most intense peaks (2θ = 15–90°), sorted by position:
2θ 28.90, rel. 63, (0 2 -1)
2θ 29.89, rel. 100, (2 1 2)
2θ 30.09, rel. 25, (2 -1 1)
2θ 30.44, rel. 19, (2 1 0)
2θ 31.04, rel. 34, (-2 1 1)
2θ 41.10, rel. 15, (0 0 4)
2θ 41.37, rel. 18, (2 -1 3)
2θ 42.77, rel. 28, (2 3 1)
2θ 42.92, rel. 15, (0 4 2)
2θ 43.11, rel. 12, (2 -3 0)

Structure:
Lattice parameters (Å, degrees): 6.7314 8.4338 9.8559 66.19 77.64 88.91
Space group P-1 (No. 2)
Inequivalent atoms, fractional coordinates:
In1 0.2218 0.2388 0.1553 x2
Bi1 0.0000 0.0000 0.5000 x1
Bi2 0.0017 0.8145 0.1517 x2
Bi3 0.1574 0.5804 0.6087 x2
Bi4 0.2231 0.6544 0.9177 x2
Bi5 0.3533 0.4164 0.3719 x2
Bi6 0.3822 0.0329 0.6492 x2
Bi7 0.4973 0.1991 0.8716 x2

***

No. 5
This entry pairs a crystal structure of In17Bi12 with its theoretical powder XRD pattern. Radiation: Cu Kα (weighted mean of Kα1 and Kα2). Structure: a crystal structure in Alexandria, relaxed with GGA-PBE.

The 10 most intense peaks (2θ = 15–90°), sorted by position:
2θ 17.83, rel. 14, (2 1 1)
2θ 29.31, rel. 45, (4 0 0)
2θ 31.13, rel. 100, (4 1 1)
2θ 34.52, rel. 46, (3 3 2)
2θ 37.63, rel. 58, (4 3 1)
2θ 53.14, rel. 32, (5 5 0)
2θ 56.50, rel. 13, (6 4 2)
2θ 59.74, rel. 21, (7 3 2)
2θ 61.84, rel. 20, (8 1 1)
2θ 65.93, rel. 20, (8 3 1)

Structure:
Lattice parameters (Å, degrees): 12.1878 12.1878 12.1878 90.00 90.00 90.00
Space group I-43m (No. 217)
Inequivalent atoms, fractional coordinates:
In1 0.0000 0.0000 0.0000 x2
In2 0.0651 0.3614 0.3614 x24
In3 0.1677 0.1677 0.8323 x8
Bi1 0.0997 0.0997 0.3124 x24

***

No. 6
This entry pairs a crystal structure of In4Bi with its theoretical powder XRD pattern. Radiation: Cu Kα (weighted mean of Kα1 and Kα2). Structure: a crystal structure in Alexandria, relaxed with GGA-PBE.

The 10 most intense peaks (2θ = 15–90°), sorted by position:
2θ 26.47, rel. 33, (1 1 -2)
2θ 26.90, rel. 30, (0 0 2)
2θ 28.55, rel. 100, (2 1 -1)
2θ 31.16, rel. 41, (1 2 -1)
2θ 37.44, rel. 35, (1 0 2)
2θ 37.58, rel. 69, (2 1 -3)
2θ 37.76, rel. 48, (1 2 1)
2θ 44.82, rel. 19, (1 3 -1)
2θ 60.47, rel. 18, (0 3 3)
2θ 66.38, rel. 24, (2 4 0)

Structure:
Lattice parameters (Å, degrees): 7.2182 6.3697 7.9318 90.00 123.24 90.00
Space group P2_1/c (No. 14)
Inequivalent atoms, fractional coordinates:
In1 0.2151 0.1169 0.1878 x4
In2 0.2187 0.6139 0.0268 x4
Bi1 0.5000 0.0000 0.0000 x2

***

No. 7
This entry pairs a crystal structure of InBi4 with its theoretical powder XRD pattern. Radiation: Cu Kα (weighted mean of Kα1 and Kα2). Structure: a crystal structure in Alexandria, relaxed with GGA-PBE.

The 10 most intense peaks (2θ = 15–90°), sorted by position:
2θ 24.89, rel. 68, (0 2 2)
2θ 28.47, rel. 41, (2 0 0)
2θ 28.73, rel. 73, (2 0 -1)
2θ 30.42, rel. 69, (1 1 3)
2θ 30.56, rel. 100, (0 2 3)
2θ 33.07, rel. 97, (1 3 -1)
2θ 34.65, rel. 41, (1 1 -4)
2θ 39.46, rel. 81, (2 2 2)
2θ 40.41, rel. 42, (2 2 -3)
2θ 60.59, rel. 26, (1 3 6)

Structure:
Lattice parameters (Å, degrees): 6.3054 9.2095 11.4286 90.00 96.08 90.00
Space group C2/m (No. 12)
Inequivalent atoms, fractional coordinates:
In1 0.0000 0.1759 0.0000 x4
Bi1 0.1384 0.5000 0.1244 x4
Bi2 0.2211 0.1964 0.2934 x8
Bi3 0.2423 0.5000 0.4655 x4

***

No. 8
This entry pairs a crystal structure of In2Bi3 with its theoretical powder XRD pattern. Radiation: Cu Kα (weighted mean of Kα1 and Kα2). Structure: a crystal structure in Alexandria, relaxed with GGA-PBE.

The 10 most intense peaks (2θ = 15–90°), sorted by position:
2θ 22.62, rel. 47, (1 0 1)
2θ 22.85, rel. 42, (0 1 -2)
2θ 26.34, rel. 36, (2 -1 0)
2θ 28.15, rel. 53, (1 -1 2)
2θ 28.53, rel. 100, (2 0 -1)
2θ 30.84, rel. 50, (2 0 0)
2θ 31.07, rel. 56, (0 2 -2)
2θ 32.61, rel. 71, (2 -2 1)
2θ 32.91, rel. 39, (0 1 2)
2θ 33.18, rel. 38, (1 0 -3)

Structure:
Lattice parameters (Å, degrees): 6.9538 6.9636 8.3355 103.11 103.38 115.93
Space group P1 (No. 1)
Inequivalent atoms, fractional coordinates:
In1 0.0000 0.0000 0.0000 x1
In2 0.0727 0.9091 0.4990 x1
In3 0.2260 0.5762 0.7831 x1
In4 0.6379 0.1479 0.2848 x1
Bi1 0.1720 0.6879 0.1812 x1
Bi2 0.1943 0.3672 0.3898 x1
Bi3 0.4537 0.1293 0.8897 x1
Bi4 0.6274 0.6527 0.1042 x1
Bi5 0.7191 0.5484 0.6084 x1
Bi6 0.7778 0.1029 0.6845 x1

***

No. 9
This entry pairs a crystal structure of In6Bi with its theoretical powder XRD pattern. Radiation: Cu Kα (weighted mean of Kα1 and Kα2). Structure: a crystal structure in Alexandria, relaxed with GGA-PBE.

The 10 most intense peaks (2θ = 15–90°), sorted by position:
2θ 21.41, rel. 2, (3 0 0)
2θ 27.75, rel. 2, (1 0 1)
2θ 32.97, rel. 100, (4 1 0)
2θ 37.53, rel. 1, (4 -3 1)
2θ 47.32, rel. 18, (2 4 1)
2θ 58.87, rel. 36, (3 6 0)
2θ 69.15, rel. 11, (8 2 0)
2θ 73.33, rel. 1, (7 -4 2)
2θ 78.76, rel. 15, (6 5 1)
2θ 88.06, rel. 4, (12 -4 1)

Structure:
Lattice parameters (Å, degrees): 14.3759 14.3759 3.3280 90.00 90.00 120.00
Space group R-3 (No. 148, hexagonal axes)
Inequivalent atoms, fractional coordinates:
In1 0.0462 0.8069 0.1975 x18
Bi1 0.0000 0.0000 0.5000 x3

***

No. 10
This entry pairs a crystal structure of LaInBiIr2 with its theoretical powder XRD pattern. Radiation: Cu Kα (weighted mean of Kα1 and Kα2). Structure: a crystal structure in Alexandria, relaxed with GGA-PBE.

The 10 most intense peaks (2θ = 15–90°), sorted by position:
2θ 17.89, rel. 25, (1 0 0)
2θ 27.81, rel. 62, (0 0 2)
2θ 29.02, rel. 100, (1 1 1)
2θ 36.23, rel. 62, (2 0 0)
2θ 46.28, rel. 63, (2 0 2)
2θ 49.97, rel. 30, (1 1 3)
2θ 52.17, rel. 22, (2 2 0)
2θ 60.14, rel. 29, (2 2 2)
2θ 60.80, rel. 25, (3 1 1)
2θ 69.85, rel. 18, (2 0 4)

Structure:
Lattice parameters (Å, degrees): 4.9594 4.9594 6.4150 90.00 90.00 90.00
Space group P4/mmm (No. 123)
Inequivalent atoms, fractional coordinates:
La1 0.0000 0.0000 0.0000 x1
In1 0.5000 0.5000 0.5000 x1
Bi1 0.0000 0.0000 0.5000 x1
Ir1 0.0000 0.5000 0.0000 x2

***

No. 11
This entry pairs a crystal structure of K2In15Bi2 with its theoretical powder XRD pattern. Radiation: Cu Kα (weighted mean of Kα1 and Kα2). Structure: a crystal structure in Alexandria, relaxed with GGA-PBE.

The 10 most intense peaks (2θ = 15–90°), sorted by position:
2θ 16.11, rel. 15, (0 0 3)
2θ 28.06, rel. 20, (3 0 0)
2θ 28.61, rel. 33, (0 2 4)
2θ 32.53, rel. 92, (0 0 6)
2θ 33.00, rel. 42, (2 0 5)
2θ 36.50, rel. 100, (2 2 3)
2θ 58.04, rel. 30, (6 0 0)
2θ 58.32, rel. 14, (4 2 5)
2θ 59.21, rel. 20, (0 4 8)
2θ 68.12, rel. 17, (4 4 0)

Structure:
Lattice parameters (Å, degrees): 11.0141 11.0141 16.5034 90.00 90.00 120.00
Space group R-3m (No. 166, hexagonal axes)
Inequivalent atoms, fractional coordinates:
K1 0.0000 0.0000 0.1540 x6
In1 0.0000 0.2907 0.5000 x18
In2 0.0000 0.5000 0.0000 x9
In3 0.0073 0.5037 0.6430 x18
Bi1 0.0000 0.0000 0.3829 x6